Simulated X-ray powder pattern of KTl2OsO6 for Cu Ka, from a DFT-relaxed cell (PBE, Alexandria).

```
KTl2OsO6
1.0
6.246 0.000 0.000
-3.123 5.410 0.000
0.000 0.000 6.826
K Tl Os O
1 2 1 6
Cartesian
0.000 0.000 0.000
0.000 3.606 3.396
3.123 1.803 3.430
0.000 0.000 3.413
0.000 1.535 2.312
-1.794 4.642 2.312
1.330 0.768 4.514
1.794 4.642 2.312
4.917 0.768 4.514
3.123 3.874 4.514
```

Main lines, in order of rising 2θ (5° ≤ 2θ ≤ 70°):
| Position (°2θ) | Rel. int. |
| --- | --- |
| 12.97 | 100.0 |
| 26.11 | 18.6 |
| 28.58 | 47.7 |
| 31.50 | 58.0 |
| 39.09 | 47.1 |
| 49.57 | 19.4 |

---

Simulated X-ray powder pattern of K2Tl2OsO4 for Cu Ka, from a DFT-relaxed cell (PBE, Alexandria).

```
K2Tl2OsO4
1.0
-3.202 3.202 4.317
3.202 -3.202 4.317
3.202 3.202 -4.317
K Tl Os O
2 2 1 4
Cartesian
3.202 0.000 2.159
0.000 3.202 2.159
0.000 0.000 1.403
0.000 0.000 7.232
0.000 0.000 4.317
1.843 1.843 0.000
1.360 -1.360 4.317
-1.360 1.360 4.317
1.360 1.360 4.317
```

Main lines, in order of rising 2θ (5° ≤ 2θ ≤ 70°):
| Position (°2θ) | Rel. int. |
| --- | --- |
| 19.60 | 100.0 |
| 27.86 | 62.4 |
| 34.15 | 72.3 |
| 39.81 | 34.0 |
| 44.63 | 63.1 |
| 61.34 | 34.2 |

---

Simulated X-ray powder pattern of K2ZrOs3O12 for Cu Ka, from a DFT-relaxed cell (PBE, Alexandria).

```
K2ZrOs3O12
1.0
3.636 2.099 6.120
-3.636 2.099 6.120
0.000 -4.198 6.120
K Zr Os O
2 1 3 12
Cartesian
0.000 0.000 2.469
0.000 0.000 15.890
0.000 0.000 9.180
-1.818 -1.050 6.120
-1.818 1.049 12.239
0.000 2.099 6.120
-1.520 -0.878 8.007
0.000 -1.588 5.885
-1.375 0.794 5.885
0.000 -1.755 10.352
-1.520 0.878 10.352
-1.375 -0.794 12.474
1.375 0.794 5.885
1.520 -0.878 8.007
0.000 1.755 8.007
1.375 -0.794 12.474
0.000 1.588 12.474
1.520 0.878 10.352
```

Main lines, in order of rising 2θ (5° ≤ 2θ ≤ 70°):
| Position (°2θ) | Rel. int. |
| --- | --- |
| 14.47 | 95.6 |
| 14.87 | 100.0 |
| 28.56 | 69.6 |
| 28.77 | 80.4 |
| 29.19 | 42.3 |
| 30.00 | 98.8 |

---

Simulated X-ray powder pattern of K8PO3 for Cu Ka, from a DFT-relaxed cell (PBE, Alexandria).

```
K8PO3
1.0
6.845 0.000 0.000
0.000 6.845 0.000
0.000 0.000 6.845
K P O
8 1 3
Cartesian
1.619 1.619 1.619
1.619 1.619 5.227
1.619 5.227 1.619
1.619 5.227 5.227
5.227 1.619 1.619
5.227 1.619 5.227
5.227 5.227 1.619
5.227 5.227 5.227
3.423 3.423 3.423
0.000 0.000 3.423
0.000 3.423 0.000
3.423 0.000 0.000
```

Main lines, in order of rising 2θ (5° ≤ 2θ ≤ 70°):
| Position (°2θ) | Rel. int. |
| --- | --- |
| 22.50 | 12.1 |
| 26.03 | 50.2 |
| 37.15 | 100.0 |
| 53.55 | 14.2 |
| 60.48 | 13.1 |
| 66.97 | 25.2 |

---

Simulated X-ray powder pattern of K3P2PbO8 for Cu Ka, from a DFT-relaxed cell (PBE, Alexandria).

```
K3P2PbO8
1.0
5.779 0.000 0.000
-2.889 5.005 0.000
0.000 0.000 8.026
K P Pb O
3 2 1 8
Cartesian
0.000 0.000 0.000
0.000 3.336 5.861
2.889 1.668 2.164
0.000 3.336 1.941
2.889 1.668 6.084
0.000 0.000 4.013
0.000 1.848 2.433
-1.289 4.081 2.433
0.000 3.336 0.410
1.600 0.924 5.592
1.289 4.081 2.433
2.889 1.668 7.615
4.178 0.924 5.592
2.889 3.157 5.592
```

Main lines, in order of rising 2θ (5° ≤ 2θ ≤ 70°):
| Position (°2θ) | Rel. int. |
| --- | --- |
| 11.02 | 44.1 |
| 17.72 | 40.5 |
| 20.92 | 74.2 |
| 28.51 | 100.0 |
| 30.95 | 69.8 |
| 42.58 | 45.0 |

---

Simulated X-ray powder pattern of K2P2PdO7 for Cu Ka, from a DFT-relaxed cell (PBE, Alexandria).

```
K2P2PdO7
1.0
9.517 0.000 0.000
0.000 7.089 0.000
0.000 0.000 11.136
K P Pd O
8 8 4 28
Cartesian
0.896 1.772 0.334
1.417 1.772 5.207
3.341 5.316 10.775
3.862 5.316 5.902
5.654 1.772 5.234
6.176 1.772 0.361
8.099 5.316 5.929
8.621 5.316 10.801
1.231 3.795 8.113
1.231 6.838 8.113
3.527 0.251 2.545
3.527 3.294 2.545
5.989 3.795 8.590
5.989 6.838 8.590
8.286 0.251 3.023
8.286 3.294 3.023
1.137 5.316 2.826
3.621 1.772 8.394
5.896 5.316 2.742
8.379 1.772 8.310
0.024 3.869 3.746
0.024 6.763 3.746
1.197 3.796 9.616
1.197 6.837 9.616
1.244 5.316 7.503
2.233 3.863 1.890
2.233 6.769 1.890
2.525 0.319 7.458
2.525 3.225 7.458
3.515 1.772 1.935
3.562 0.252 4.048
3.562 3.293 4.048
4.734 0.325 9.314
4.734 3.219 9.314
4.783 3.869 1.822
4.783 6.763 1.822
5.955 3.796 7.088
5.955 6.837 7.088
6.002 5.316 9.201
6.992 3.863 3.678
6.992 6.769 3.678
7.283 0.319 9.246
7.283 3.225 9.246
8.273 1.772 3.633
8.320 0.252 1.520
8.320 3.293 1.520
9.492 0.325 7.390
9.492 3.219 7.390
```

Main lines, in order of rising 2θ (5° ≤ 2θ ≤ 70°):
| Position (°2θ) | Rel. int. |
| --- | --- |
| 14.81 | 27.6 |
| 15.92 | 48.7 |
| 27.12 | 25.5 |
| 27.69 | 100.0 |
| 32.51 | 51.0 |
| 45.90 | 18.5 |

---

Simulated X-ray powder pattern of K2PmPO6 for Cu Ka, from a DFT-relaxed cell (PBE, Alexandria).

```
K2PmPO6
1.0
6.239 0.000 0.000
-3.120 5.403 0.000
0.000 0.000 5.810
K Pm P O
2 1 1 6
Cartesian
0.000 3.602 0.505
3.120 1.801 5.305
0.000 0.000 2.905
0.000 0.000 0.000
0.000 1.393 4.803
-1.913 4.707 4.803
1.206 0.696 1.007
1.913 4.707 4.803
5.033 0.696 1.007
3.120 4.011 1.007
```

Main lines, in order of rising 2θ (5° ≤ 2θ ≤ 70°):
| Position (°2θ) | Rel. int. |
| --- | --- |
| 16.41 | 100.0 |
| 22.47 | 46.1 |
| 28.61 | 44.4 |
| 36.68 | 29.0 |
| 42.52 | 25.1 |
| 47.17 | 20.2 |

---

Simulated X-ray powder pattern of K3PrP2O8 for Cu Ka, from a DFT-relaxed cell (PBE, Alexandria).

```
K3PrP2O8
1.0
7.593 0.000 0.000
0.000 5.749 0.000
-0.182 0.000 9.678
K Pr P O
6 2 4 16
Cartesian
0.011 1.437 1.844
1.000 4.312 3.940
2.082 1.437 8.866
5.329 4.312 0.813
6.411 1.437 5.739
7.399 4.312 7.835
3.623 4.312 6.860
3.788 1.437 2.818
2.004 4.312 0.829
2.214 1.437 5.546
5.197 4.312 4.133
5.406 1.437 8.849
0.471 4.312 0.970
1.569 1.437 4.120
1.780 0.164 6.334
1.780 2.710 6.334
2.258 4.312 9.008
2.591 3.040 1.529
2.591 5.584 1.529
3.654 4.312 4.341
3.757 1.437 5.337
4.819 0.165 8.150
4.819 2.709 8.150
5.153 1.437 0.670
5.631 3.039 3.344
5.631 5.585 3.344
5.841 4.312 5.559
6.940 1.437 8.708
```

Main lines, in order of rising 2θ (5° ≤ 2θ ≤ 70°):
| Position (°2θ) | Rel. int. |
| --- | --- |
| 11.66 | 100.0 |
| 21.56 | 80.8 |
| 29.53 | 43.7 |
| 29.82 | 89.7 |
| 31.11 | 70.4 |
| 31.81 | 82.3 |